1.
Starting from a PBE-relaxed structure, the powder XRD pattern of BaMg14Mo was simulated for Cu Kα X-rays.
Kinematic intensities with the Lorentz-polarization factor, no thermal factor.

Structure:
abc: 6.5367 6.5367 10.3772
angles: 90.00 90.00 120.00
Positions (direct):
Ba  0.0000  0.0000  0.0000
Mg  0.0141  0.5071  0.0000
Mg  0.1662  0.3324  0.2747
Mg  0.1662  0.3324  0.7253
Mg  0.1662  0.8338  0.2747
Mg  0.1662  0.8338  0.7253
Mg  0.4929  0.5071  0.0000
Mg  0.4929  0.9859  0.0000
Mg  0.5040  0.0081  0.5000
Mg  0.5040  0.4960  0.5000
Mg  0.6667  0.3333  0.2409
Mg  0.6667  0.3333  0.7591
Mg  0.6676  0.8338  0.2747
Mg  0.6676  0.8338  0.7253
Mg  0.9919  0.4960  0.5000
Mo  0.0000  0.0000  0.5000

Largest 10 diffraction maxima, sorted by position, 2θ from 10° to 80°:
hkl 1 0 0, 15.7 deg, d 5.661, rel. 47
hkl 1 0 2, 23.3 deg, d 3.825, rel. 38
hkl 2 0 0, 31.6 deg, d 2.830, rel. 30
hkl 1 1 2, 32.4 deg, d 2.765, rel. 16
hkl 0 0 4, 34.6 deg, d 2.594, rel. 23
hkl 2 0 2, 36.1 deg, d 2.485, rel. 100
hkl 2 0 4, 47.5 deg, d 1.912, rel. 19
hkl 2 2 0, 56.3 deg, d 1.634, rel. 18
hkl 2 0 6, 63.0 deg, d 1.476, rel. 16
hkl 2 2 4, 67.8 deg, d 1.383, rel. 18

***

2.
Starting from a PBE-relaxed structure, the powder XRD pattern of SrAcHg2 was simulated for Cu Kα X-rays.
Kinematic intensities with the Lorentz-polarization factor, no thermal factor.

Structure:
abc: 8.0668 8.0668 8.0668
angles: 90.00 90.00 90.00
Positions (direct):
Sr  0.0000  0.0000  0.0000
Sr  0.0000  0.5000  0.5000
Sr  0.5000  0.0000  0.5000
Sr  0.5000  0.5000  0.0000
Ac  0.0000  0.0000  0.5000
Ac  0.0000  0.5000  0.0000
Ac  0.5000  0.0000  0.0000
Ac  0.5000  0.5000  0.5000
Hg  0.2500  0.2500  0.2500
Hg  0.2500  0.2500  0.7500
Hg  0.2500  0.7500  0.2500
Hg  0.2500  0.7500  0.7500
Hg  0.7500  0.2500  0.2500
Hg  0.7500  0.2500  0.7500
Hg  0.7500  0.7500  0.2500
Hg  0.7500  0.7500  0.7500

Largest 10 diffraction maxima, sorted by position, 2θ from 10° to 80°:
hkl 1 1 1, 19.1 deg, d 4.657, rel. 7
hkl 2 0 0, 22.0 deg, d 4.033, rel. 2
hkl 2 2 0, 31.4 deg, d 2.852, rel. 100
hkl 3 1 1, 37.0 deg, d 2.432, rel. 4
hkl 4 0 0, 44.9 deg, d 2.017, rel. 19
hkl 3 3 1, 49.2 deg, d 1.851, rel. 2
hkl 4 2 2, 55.8 deg, d 1.647, rel. 40
hkl 5 1 1, 59.5 deg, d 1.552, rel. 2
hkl 4 4 0, 65.4 deg, d 1.426, rel. 13
hkl 6 2 0, 74.4 deg, d 1.275, rel. 17